No. 1
The following is a calculated powder X-ray diffraction pattern of KNiS. It was derived from a PBE-relaxed structure, using Cu Kα (weighted mean of Kα1 and Kα2).
Peak positions follow from Bragg's law for the DFT cell and can differ from measured ones.

Structural model:
a b c (Å): 3.941 6.213 6.271
angles (deg): 106.51 108.22 90.32
Space group P-1 (No. 2)
One atom of each set of equivalent atoms:
1 K 0.098 0.309 0.194 (multiplicity 2)
2 Ni 0.208 0.887 0.419 (multiplicity 2)
3 S 0.361 0.215 0.719 (multiplicity 2)

The 10 most intense peaks (10° ≤ 2θ ≤ 90°), low angle first:
| two_theta | Rel. int. | h k l |
| --- | --- | --- |
| 14.95 | 59 | 0 1 0 |
| 15.60 | 74 | 0 0 1 |
| 18.09 | 100 | 0 1 -1 |
| 29.51 | 47 | 0 2 -1 |
| 30.54 | 64 | 0 1 -2 |
| 36.66 | 34 | 0 2 -2 |
| 39.15 | 38 | -1 1 2 |
| 39.26 | 33 | 1 1 1 |
| 46.07 | 37 | 2 0 -1 |
| 52.68 | 25 | 1 1 2 |


No. 2
The following is a calculated powder X-ray diffraction pattern of K5NiS4. It was derived from a PBE-relaxed structure, using Cu Kα (weighted mean of Kα1 and Kα2).
Peak positions follow from Bragg's law for the DFT cell and can differ from measured ones.

Structural model:
a b c (Å): 3.518 8.666 19.329
angles (deg): 90.00 90.00 90.00
Space group Immm (No. 71)
One atom of each set of equivalent atoms:
1 K 0.000 0.000 0.000 (multiplicity 2)
2 K 0.000 0.198 0.337 (multiplicity 8)
3 Ni 0.000 0.500 0.000 (multiplicity 2)
4 S 0.000 0.168 0.500 (multiplicity 4)
5 S 0.000 0.500 0.263 (multiplicity 4)

The 10 most intense peaks (10° ≤ 2θ ≤ 90°), low angle first:
| two_theta | Rel. int. | h k l |
| --- | --- | --- |
| 11.19 | 65 | 0 1 1 |
| 18.36 | 36 | 0 0 4 |
| 27.67 | 100 | 0 0 6 |
| 28.91 | 57 | 1 0 3 |
| 33.13 | 70 | 1 2 1 |
| 34.05 | 19 | 0 1 7 |
| 40.41 | 56 | 1 3 0 |
| 46.78 | 36 | 1 2 7 |
| 49.69 | 22 | 1 3 6 |
| 59.90 | 18 | 2 0 6 |


No. 3
The following is a calculated powder X-ray diffraction pattern of KScNiS3. It was derived from a PBE-relaxed structure, using Cu Kα (weighted mean of Kα1 and Kα2).
Peak positions follow from Bragg's law for the DFT cell and can differ from measured ones.

Structural model:
a b c (Å): 8.545 3.768 9.151
angles (deg): 90.00 109.84 90.00
Space group P2_1/m (No. 11)
One atom of each set of equivalent atoms:
1 K 0.203 0.250 0.231 (multiplicity 2)
2 Sc 0.333 0.750 0.862 (multiplicity 2)
3 Ni 0.080 0.250 0.598 (multiplicity 2)
4 S 0.123 0.250 0.856 (multiplicity 2)
5 S 0.190 0.750 0.545 (multiplicity 2)
6 S 0.465 0.750 0.156 (multiplicity 2)

The 10 most intense peaks (10° ≤ 2θ ≤ 90°), low angle first:
| two_theta | Rel. int. | h k l |
| --- | --- | --- |
| 11.01 | 27 | 1 0 0 |
| 12.25 | 100 | 1 0 -1 |
| 31.02 | 13 | 1 1 -2 |
| 31.17 | 13 | 0 0 3 |
| 31.79 | 32 | 2 1 -1 |
| 32.58 | 32 | 2 1 0 |
| 36.66 | 13 | 1 0 3 |
| 37.96 | 12 | 1 1 -3 |
| 47.22 | 21 | 2 1 -4 |
| 48.31 | 15 | 0 2 0 |


No. 4
The following is a calculated powder X-ray diffraction pattern of KNi2SeS. It was derived from a PBE-relaxed structure, using Cu Kα (weighted mean of Kα1 and Kα2).
Peak positions follow from Bragg's law for the DFT cell and can differ from measured ones.

Structural model:
a b c (Å): 7.168 3.886 7.772
angles (deg): 90.00 105.07 90.00
Space group P2_1/m (No. 11)
One atom of each set of equivalent atoms:
1 K 0.058 0.250 0.254 (multiplicity 2)
2 Ni 0.487 0.250 0.110 (multiplicity 2)
3 Ni 0.494 0.750 0.352 (multiplicity 2)
4 Se 0.313 0.750 0.574 (multiplicity 2)
5 S 0.316 0.750 0.075 (multiplicity 2)

The 10 most intense peaks (10° ≤ 2θ ≤ 90°), low angle first:
| two_theta | Rel. int. | h k l |
| --- | --- | --- |
| 12.79 | 100 | 1 0 0 |
| 25.78 | 12 | 2 0 0 |
| 26.30 | 15 | 1 1 0 |
| 29.89 | 15 | 1 0 2 |
| 30.26 | 27 | 2 0 -2 |
| 37.98 | 21 | 1 1 2 |
| 38.26 | 21 | 2 1 -2 |
| 46.37 | 17 | 2 1 2 |
| 46.76 | 46 | 0 2 0 |
| 57.65 | 11 | 4 1 -2 |


No. 5
The following is a calculated powder X-ray diffraction pattern of K2TaNiS5. It was derived from a PBE-relaxed structure, using Cu Kα (weighted mean of Kα1 and Kα2).
Peak positions follow from Bragg's law for the DFT cell and can differ from measured ones.

Structural model:
a b c (Å): 3.780 13.216 9.876
angles (deg): 90.00 99.87 90.00
Space group P2_1 (No. 4)
One atom of each set of equivalent atoms:
1 K 0.101 0.000 0.243 (multiplicity 2)
2 K 0.132 0.631 0.241 (multiplicity 2)
3 Ta 0.319 0.332 0.439 (multiplicity 2)
4 Ni 0.433 0.718 0.811 (multiplicity 2)
5 S 0.066 0.296 0.186 (multiplicity 2)
6 S 0.261 0.957 0.591 (multiplicity 2)
7 S 0.262 0.702 0.585 (multiplicity 2)
8 S 0.348 0.319 0.671 (multiplicity 2)
9 S 0.485 0.119 0.022 (multiplicity 2)

The 10 most intense peaks (10° ≤ 2θ ≤ 90°), low angle first:
| two_theta | Rel. int. | h k l |
| --- | --- | --- |
| 11.29 | 73 | 0 1 1 |
| 13.40 | 64 | 0 2 0 |
| 16.21 | 100 | 0 2 1 |
| 27.52 | 20 | 1 0 -2 |
| 27.91 | 22 | 1 1 1 |
| 28.34 | 36 | 0 1 3 |
| 31.45 | 47 | 1 3 0 |
| 31.60 | 42 | 1 3 -1 |
| 37.60 | 30 | 0 1 4 |
| 42.04 | 16 | 0 6 1 |


No. 6
The following is a calculated powder X-ray diffraction pattern of K3UNi2S6. It was derived from a PBE-relaxed structure, using Cu Kα (weighted mean of Kα1 and Kα2).
Peak positions follow from Bragg's law for the DFT cell and can differ from measured ones.

Structural model:
a b c (Å): 6.419 11.105 7.645
angles (deg): 90.00 106.24 90.00
Space group C2/m (No. 12)
One atom of each set of equivalent atoms:
1 K 0.000 0.000 0.000 (multiplicity 2)
2 K 0.000 0.334 0.000 (multiplicity 4)
3 U 0.000 0.500 0.500 (multiplicity 2)
4 Ni 0.000 0.167 0.500 (multiplicity 4)
5 S 0.215 0.000 0.685 (multiplicity 4)
6 S 0.235 0.327 0.686 (multiplicity 8)

The 10 most intense peaks (10° ≤ 2θ ≤ 90°), low angle first:
| two_theta | Rel. int. | h k l |
| --- | --- | --- |
| 12.06 | 76 | 0 0 1 |
| 16.45 | 17 | 1 1 0 |
| 17.88 | 14 | 1 1 -1 |
| 24.25 | 18 | 0 0 2 |
| 29.00 | 25 | 2 0 0 |
| 32.30 | 100 | 2 0 -2 |
| 40.15 | 20 | 1 3 2 |
| 43.32 | 36 | 1 3 -3 |
| 49.20 | 30 | 0 6 0 |
| 60.09 | 15 | 2 6 -2 |


No. 7
The following is a calculated powder X-ray diffraction pattern of K3U3NiS8. It was derived from a PBE-relaxed structure, using Cu Kα (weighted mean of Kα1 and Kα2).
Peak positions follow from Bragg's law for the DFT cell and can differ from measured ones.

Structural model:
a b c (Å): 13.376 7.883 8.723
angles (deg): 90.00 120.18 90.00
Space group C2/m (No. 12)
One atom of each set of equivalent atoms:
1 K 0.000 0.000 0.000 (multiplicity 2)
2 K 0.250 0.250 0.000 (multiplicity 4)
3 U 0.000 0.500 0.500 (multiplicity 2)
4 U 0.250 0.250 0.500 (multiplicity 4)
5 Ni 0.000 0.000 0.500 (multiplicity 2)
6 S 0.019 0.252 0.305 (multiplicity 8)
7 S 0.212 0.000 0.679 (multiplicity 4)
8 S 0.236 0.500 0.706 (multiplicity 4)

The 10 most intense peaks (10° ≤ 2θ ≤ 90°), low angle first:
| two_theta | Rel. int. | h k l |
| --- | --- | --- |
| 11.74 | 100 | 0 0 1 |
| 15.27 | 13 | 1 1 -1 |
| 23.60 | 19 | 0 0 2 |
| 26.56 | 22 | 2 2 -1 |
| 27.39 | 21 | 2 2 0 |
| 30.78 | 53 | 2 2 -2 |
| 30.93 | 25 | 4 0 0 |
| 38.56 | 24 | 4 0 1 |
| 41.46 | 19 | 2 2 2 |
| 46.82 | 17 | 6 2 -2 |


No. 8
The following is a calculated powder X-ray diffraction pattern of KU2NiS5. It was derived from a PBE-relaxed structure, using Cu Kα (weighted mean of Kα1 and Kα2).
Peak positions follow from Bragg's law for the DFT cell and can differ from measured ones.

Structural model:
a b c (Å): 7.530 7.530 13.157
angles (deg): 90.00 90.00 90.00
Space group I4/mcm (No. 140)
One atom of each set of equivalent atoms:
1 K 0.000 0.000 0.250 (multiplicity 4)
2 U 0.161 0.339 0.000 (multiplicity 8)
3 Ni 0.000 0.500 0.250 (multiplicity 4)
4 S 0.000 0.000 0.000 (multiplicity 4)
5 S 0.145 0.355 0.372 (multiplicity 16)

The 10 most intense peaks (10° ≤ 2θ ≤ 90°), low angle first:
| two_theta | Rel. int. | h k l |
| --- | --- | --- |
| 13.46 | 80 | 0 0 2 |
| 16.65 | 21 | 1 1 0 |
| 27.11 | 24 | 0 0 4 |
| 27.32 | 100 | 2 1 1 |
| 33.55 | 96 | 2 1 3 |
| 37.78 | 20 | 3 1 0 |
| 40.28 | 29 | 3 1 2 |
| 43.67 | 50 | 2 1 5 |
| 50.44 | 23 | 4 0 2 |
| 54.44 | 21 | 4 1 3 |